No. 1
Theoretical XRD peak list
Compound: V4O7
Radiation: Cu Kα (weighted mean of Kα1 and Kα2)
Structure: a PBE+U-relaxed structure

abc: 6.282 6.579 6.922
angles: 89.60 88.24 68.51
Element x y z (fractional)
V 0.120 0.284 0.130
V 0.193 0.289 0.614
V 0.338 0.706 0.651
V 0.360 0.705 0.107
V 0.640 0.295 0.893
V 0.662 0.294 0.349
V 0.807 0.711 0.386
V 0.880 0.716 0.870
O 0.018 0.664 0.588
O 0.063 0.370 0.855
O 0.170 0.748 0.891
O 0.292 0.999 0.612
O 0.295 0.013 0.145
O 0.400 0.385 0.129
O 0.460 0.365 0.628
O 0.540 0.635 0.372
O 0.600 0.615 0.871
O 0.705 0.987 0.855
O 0.708 0.001 0.388
O 0.830 0.252 0.109
O 0.937 0.630 0.145
O 0.982 0.336 0.412

Largest 10 diffraction maxima, low angle first, 10° ≤ 2θ ≤ 90°:
Position (°2θ)  d [Å]  Rel. int.
14.5  6.122  591
28.6  3.117  1000
29.2  3.061  753
29.6  3.017  829
30.4  2.937  987
44.4  2.041  379
50.3  1.814  325
51.8  1.765  233
52.9  1.730  336
59.2  1.561  258

No. 2
Theoretical XRD peak list
Compound: V2O3
Radiation: Cu Kα (weighted mean of Kα1 and Kα2)
Structure: a PBE+U-relaxed structure

abc: 8.290 8.290 8.290
angles: 109.47 109.47 109.47
Element x y z (fractional)
V 0.000 0.000 0.500
V 0.000 0.500 0.000
V 0.031 0.750 0.781
V 0.219 0.969 0.250
V 0.250 0.219 0.969
V 0.250 0.719 0.469
V 0.281 0.531 0.750
V 0.469 0.250 0.719
V 0.500 0.000 0.000
V 0.500 0.500 0.500
V 0.531 0.750 0.281
V 0.719 0.469 0.250
V 0.750 0.281 0.531
V 0.750 0.781 0.031
V 0.781 0.031 0.750
V 0.969 0.250 0.219
O 0.013 0.045 0.273
O 0.032 0.487 0.760
O 0.045 0.273 0.013
O 0.227 0.272 0.740
O 0.228 0.455 0.468
O 0.240 0.968 0.513
O 0.260 0.773 0.728
O 0.272 0.740 0.227
O 0.273 0.013 0.045
O 0.455 0.468 0.228
O 0.468 0.228 0.455
O 0.487 0.760 0.032
O 0.513 0.240 0.968
O 0.532 0.772 0.545
O 0.545 0.532 0.772
O 0.727 0.987 0.955
O 0.728 0.260 0.773
O 0.740 0.227 0.272
O 0.760 0.032 0.487
O 0.772 0.545 0.532
O 0.773 0.728 0.260
O 0.955 0.727 0.987
O 0.968 0.513 0.240
O 0.987 0.955 0.727

Largest 10 diffraction maxima, low angle first, 10° ≤ 2θ ≤ 90°:
Position (°2θ)  d [Å]  Rel. int.
22.8  3.908  137
32.4  2.763  1000
37.6  2.393  131
44.4  2.041  98
48.5  1.877  76
54.2  1.692  494
59.5  1.553  48
64.6  1.443  247
66.2  1.411  58
89.2  1.098  70

No. 3
Theoretical XRD peak list
Compound: V4O7
Radiation: Cu Kα (weighted mean of Kα1 and Kα2)
Structure: a PBE+U-relaxed structure

abc: 5.610 6.766 7.806
angles: 64.33 84.77 85.67
Element x y z (fractional)
V 0.092 0.289 0.211
V 0.111 0.802 0.087
V 0.258 0.535 0.548
V 0.362 0.979 0.689
V 0.638 0.021 0.311
V 0.742 0.465 0.452
V 0.889 0.198 0.913
V 0.908 0.711 0.789
O 0.006 0.000 0.807
O 0.104 0.381 0.943
O 0.104 0.538 0.338
O 0.202 0.755 0.642
O 0.316 0.143 0.373
O 0.398 0.810 0.954
O 0.457 0.287 0.629
O 0.543 0.713 0.371
O 0.602 0.190 0.046
O 0.684 0.857 0.627
O 0.798 0.245 0.358
O 0.896 0.462 0.662
O 0.896 0.619 0.057
O 0.994 0.000 0.193

Largest 10 diffraction maxima, low angle first, 10° ≤ 2θ ≤ 90°:
Position (°2θ)  d [Å]  Rel. int.
15.9  5.582  668
19.7  4.515  758
23.1  3.855  553
26.4  3.373  527
26.9  3.314  459
29.2  3.063  407
29.9  2.989  886
34.7  2.588  415
35.4  2.538  1000
49.4  1.844  532

No. 4
Theoretical XRD peak list
Compound: V3O7
Radiation: Cu Kα (weighted mean of Kα1 and Kα2)
Structure: a PBE+U-relaxed structure

abc: 11.481 11.481 18.707
angles: 95.27 95.27 18.52
Element x y z (fractional)
V 0.007 0.604 0.558
V 0.076 0.581 0.375
V 0.092 0.587 0.746
V 0.204 0.796 0.750
V 0.218 0.718 0.555
V 0.282 0.782 0.945
V 0.396 0.993 0.942
V 0.413 0.908 0.754
V 0.419 0.924 0.125
V 0.581 0.076 0.875
V 0.587 0.092 0.246
V 0.604 0.007 0.058
V 0.718 0.218 0.055
V 0.782 0.282 0.445
V 0.796 0.204 0.250
V 0.908 0.413 0.254
V 0.924 0.419 0.625
V 0.993 0.396 0.442
O 0.037 0.533 0.451
O 0.050 0.548 0.664
O 0.066 0.548 0.059
O 0.068 0.564 0.846
O 0.075 0.579 0.269
O 0.141 0.647 0.561
O 0.143 0.650 0.408
O 0.162 0.661 0.736
O 0.228 0.727 0.026
O 0.247 0.751 0.859
O 0.249 0.753 0.641
O 0.256 0.744 0.250
O 0.273 0.772 0.474
O 0.339 0.838 0.764
O 0.350 0.857 0.092
O 0.353 0.859 0.939
O 0.421 0.925 0.231
O 0.436 0.932 0.654
O 0.452 0.934 0.441
O 0.452 0.950 0.836
O 0.467 0.963 0.049
O 0.533 0.037 0.951
O 0.548 0.050 0.164
O 0.548 0.066 0.559
O 0.564 0.068 0.346
O 0.579 0.075 0.769
O 0.647 0.141 0.061
O 0.650 0.143 0.908
O 0.661 0.162 0.236
O 0.727 0.228 0.526
O 0.744 0.256 0.750
O 0.751 0.247 0.359
O 0.753 0.249 0.141
O 0.772 0.273 0.974
O 0.838 0.339 0.264
O 0.857 0.350 0.592
O 0.859 0.353 0.439
O 0.925 0.421 0.731
O 0.932 0.436 0.154
O 0.934 0.452 0.941
O 0.950 0.452 0.336
O 0.963 0.467 0.549

Largest 10 diffraction maxima, low angle first, 10° ≤ 2θ ≤ 90°:
Position (°2θ)  d [Å]  Rel. int.
19.1  4.642  333
21.3  4.170  284
23.7  3.761  822
24.7  3.606  233
24.8  3.588  1000
28.8  3.104  278
29.1  3.067  231
34.7  2.586  201
48.9  1.863  159
49.3  1.847  312